NdY15Sc4: simulated X-ray powder pattern (Cu Kα X-rays), based on the PBE geometry in Alexandria.
Peak positions follow from Bragg's law for the DFT cell and can differ from measured ones.

Cell and atoms:
```
data_NdY15Sc4
_chemical_formula_sum 'Nd1 Y15 Sc4'
_cell_length_a 4.976
_cell_length_b 4.976
_cell_length_c 24.846
_cell_angle_alpha 90.00
_cell_angle_beta 90.00
_cell_angle_gamma 90.00
_symmetry_space_group_name_H-M 'P 4/m m m'
_symmetry_Int_Tables_number 123
_symmetry_space_group_name_Hall '-P 4 2'
loop_
_atom_site_label
_atom_site_fract_x
_atom_site_fract_y
_atom_site_fract_z
Nd1 0.000 0.000 0.000
Y1 0.000 0.500 0.105
Y2 0.000 0.500 0.302
Y3 0.000 0.500 0.500
Y4 0.500 0.500 0.000
Y5 0.500 0.500 0.204
Y6 0.500 0.500 0.401
Sc1 0.000 0.000 0.203
Sc2 0.000 0.000 0.401
```

Principal peaks in the range 2θ from 5° to 70°, in order of rising 2θ:
- 2θ 7.1, intensity 1
- 2θ 17.8, intensity 2
- 2θ 18.2, intensity 1
- 2θ 25.3, intensity 2
- 2θ 29.2, intensity 1
- 2θ 31.1, intensity 100
- 2θ 36.1, intensity 50
- 2θ 52.0, intensity 33
- 2θ 61.9, intensity 38
- 2θ 65.0, intensity 11

KGaTe3: simulated X-ray powder pattern (Cu Kα X-rays), based on the PBE geometry in Alexandria.
Peak positions follow from Bragg's law for the DFT cell and can differ from measured ones.

Cell and atoms:
```
data_KGaTe3
_chemical_formula_sum 'K2 Ga2 Te6'
_cell_length_a 7.468
_cell_length_b 7.924
_cell_length_c 8.014
_cell_angle_alpha 62.69
_cell_angle_beta 74.40
_cell_angle_gamma 88.07
_symmetry_space_group_name_H-M 'P 1'
_symmetry_Int_Tables_number 1
loop_
_symmetry_equiv_pos_as_xyz
'x,y,z'
loop_
_atom_site_label
_atom_site_fract_x
_atom_site_fract_y
_atom_site_fract_z
K1 0.000 0.000 0.000
K2 0.387 0.613 0.678
Ga1 0.347 0.238 0.355
Ga2 0.831 0.248 0.454
Te1 0.064 0.988 0.458
Te2 0.259 0.595 0.258
Te3 0.485 0.093 0.659
Te4 0.616 0.280 0.037
Te5 0.879 0.493 0.078
Te6 0.943 0.469 0.584
```

Principal peaks in the range 2θ from 5° to 70°, in order of rising 2θ:
- 2θ 12.6, intensity 100
- 2θ 13.0, intensity 45
- 2θ 13.2, intensity 45
- 2θ 16.8, intensity 80
- 2θ 25.5, intensity 98
- 2θ 26.1, intensity 40
- 2θ 27.2, intensity 84
- 2θ 27.3, intensity 81
- 2θ 29.1, intensity 68
- 2θ 29.2, intensity 60